For BaLiZn3, a DFT-relaxed cell (GGA-PBE, Alexandria) gives the computed X-ray powder pattern in this record (Cu Kα).
Kinematic intensities with the Lorentz-polarization factor, no thermal factor.

Most intense lines, 2θ = 15–90°, in order of rising 2θ:
hkl	d_spacing	I (rel.)
1 1 1	3.794	82
1 1 2	3.269	87
0 1 3	2.848	100
1 0 4	2.683	88
3 1 2	2.378	98
4 1 2	2.001	88

Cell and atoms:
abc: 9.803 4.426 11.160
angles: 90.00 90.00 90.00
Space group Pnma (No. 62)
One atom of each set of equivalent atoms:
Ba1 0.169 0.250 0.067 [4 per cell]
Li1 0.049 0.250 0.405 [4 per cell]
Zn1 0.071 0.250 0.718 [4 per cell]
Zn2 0.160 0.750 0.818 [4 per cell]
Zn3 0.183 0.750 0.301 [4 per cell]